Record 1
# DyY3Hg
Simulated powder X-ray diffraction pattern, Cu Kα (weighted mean of Kα1 and Kα2). Input: a cell relaxed with GGA-PBE.
Neutral-atom scattering factors, no anomalous dispersion.

Structure:
```
DyY3Hg
1.0
3.572 2.062 7.320
-3.572 2.062 7.320
0.000 -4.125 7.320
Dy Y Hg
2 6 2
direct
0.089 0.089 0.089
0.911 0.911 0.911
0.103 0.606 0.606
0.394 0.394 0.897
0.394 0.897 0.394
0.606 0.103 0.606
0.606 0.606 0.103
0.897 0.394 0.394
0.334 0.334 0.334
0.666 0.666 0.666
```

Top 10 peaks for 10° ≤ 2θ ≤ 80°, low angle first:
| 2θ/deg | I/Imax |
| --- | --- |
| 24.9 | 89 |
| 27.8 | 68 |
| 29.2 | 40 |
| 33.2 | 88 |
| 35.5 | 100 |
| 36.8 | 30 |
| 43.9 | 26 |
| 51.1 | 53 |
| 56.5 | 25 |
| 64.7 | 34 |

***

Record 2
# BeB3H12
Simulated powder X-ray diffraction pattern, Cu Kα (weighted mean of Kα1 and Kα2). Input: a cell relaxed with GGA-PBE.
Neutral-atom scattering factors, no anomalous dispersion.

Structure:
```
BeB3H12
1.0
3.283 1.896 7.497
-3.283 1.896 7.497
0.000 -3.791 7.497
Be B H
2 6 24
direct
0.250 0.250 0.250
0.750 0.750 0.750
0.046 0.750 0.454
0.250 0.546 0.954
0.454 0.046 0.750
0.546 0.954 0.250
0.750 0.454 0.046
0.954 0.250 0.546
0.015 0.730 0.634
0.077 0.726 0.900
0.100 0.923 0.274
0.134 0.230 0.515
0.226 0.577 0.400
0.230 0.515 0.134
0.270 0.366 0.985
0.274 0.100 0.923
0.366 0.985 0.270
0.400 0.226 0.577
0.423 0.600 0.774
0.485 0.866 0.770
0.515 0.134 0.230
0.577 0.400 0.226
0.600 0.774 0.423
0.634 0.015 0.730
0.726 0.900 0.077
0.730 0.634 0.015
0.770 0.485 0.866
0.774 0.423 0.600
0.866 0.770 0.485
0.900 0.077 0.726
0.923 0.274 0.100
0.985 0.270 0.366
```

Top 10 peaks for 10° ≤ 2θ ≤ 80°, low angle first:
| 2θ/deg | I/Imax |
| --- | --- |
| 17.5 | 60 |
| 22.2 | 13 |
| 23.7 | 83 |
| 29.7 | 100 |
| 42.2 | 4 |
| 45.6 | 13 |
| 48.0 | 7 |
| 54.2 | 12 |
| 68.8 | 3 |
| 70.7 | 6 |

***

Record 3
# TbReSb
Simulated powder X-ray diffraction pattern, Cu Kα (weighted mean of Kα1 and Kα2). Input: a cell relaxed with GGA-PBE.
Neutral-atom scattering factors, no anomalous dispersion.

Structure:
```
TbReSb
1.0
3.551 0.000 0.000
0.000 3.551 0.000
0.000 0.000 12.751
Tb Re Sb
2 2 2
direct
0.250 0.250 0.204
0.750 0.750 0.796
0.250 0.750 0.000
0.750 0.250 0.000
0.250 0.250 0.633
0.750 0.750 0.367
```

Top 10 peaks for 10° ≤ 2θ ≤ 80°, low angle first:
| 2θ/deg | I/Imax |
| --- | --- |
| 28.8 | 87 |
| 32.9 | 43 |
| 35.2 | 48 |
| 36.5 | 52 |
| 38.5 | 100 |
| 41.8 | 32 |
| 46.0 | 32 |
| 51.5 | 43 |
| 63.0 | 42 |
| 63.9 | 34 |

***

Record 4
# GaIO6
Simulated powder X-ray diffraction pattern, Cu Kα (weighted mean of Kα1 and Kα2). Input: a cell relaxed with GGA-PBE.
Neutral-atom scattering factors, no anomalous dispersion.

Structure:
```
GaIO6
1.0
5.012 0.000 0.000
-2.505 4.342 0.000
-0.004 -2.886 4.433
Ga I O
1 1 6
direct
0.000 0.000 0.000
0.500 0.000 0.500
0.126 0.517 0.255
0.260 0.135 0.743
0.392 0.130 0.254
0.608 0.870 0.746
0.740 0.865 0.257
0.874 0.483 0.745
```

Top 10 peaks for 10° ≤ 2θ ≤ 80°, low angle first:
| 2θ/deg | I/Imax |
| --- | --- |
| 21.5 | 10 |
| 24.5 | 100 |
| 34.0 | 34 |
| 35.8 | 19 |
| 43.9 | 14 |
| 50.2 | 15 |
| 55.3 | 22 |
| 57.9 | 16 |
| 63.2 | 10 |
| 64.4 | 10 |

***

Record 5
# Ta2Co3Rh
Simulated powder X-ray diffraction pattern, Cu Kα (weighted mean of Kα1 and Kα2). Input: a cell relaxed with GGA-PBE.
Neutral-atom scattering factors, no anomalous dispersion.

Structure:
```
Ta2Co3Rh
1.0
-4.103 4.103 5.307
4.103 -4.103 5.307
4.103 4.103 -5.307
Ta Co Rh
8 12 4
direct
0.269 0.334 0.565
0.269 0.704 0.935
0.296 0.731 0.565
0.334 0.269 0.065
0.666 0.731 0.935
0.704 0.269 0.435
0.731 0.296 0.065
0.731 0.666 0.435
0.000 0.500 0.500
0.107 0.357 0.214
0.107 0.893 0.750
0.357 0.107 0.714
0.357 0.643 0.250
0.500 0.000 0.000
0.500 0.500 0.000
0.500 0.500 0.500
0.643 0.357 0.750
0.643 0.893 0.286
0.893 0.107 0.250
0.893 0.643 0.786
0.063 0.313 0.750
0.313 0.063 0.250
0.687 0.937 0.750
0.937 0.687 0.250
```

Top 10 peaks for 10° ≤ 2θ ≤ 80°, low angle first:
| 2θ/deg | I/Imax |
| --- | --- |
| 13.6 | 58 |
| 27.5 | 85 |
| 33.8 | 27 |
| 40.5 | 100 |
| 41.7 | 44 |
| 44.1 | 77 |
| 46.4 | 64 |
| 47.5 | 38 |
| 56.7 | 21 |
| 78.7 | 20 |

***

Record 6
# BaAlBrCl4
Simulated powder X-ray diffraction pattern, Cu Kα (weighted mean of Kα1 and Kα2). Input: a cell relaxed with GGA-PBE.
Neutral-atom scattering factors, no anomalous dispersion.

Structure:
```
BaAlBrCl4
1.0
6.158 -4.977 0.000
6.158 4.977 0.000
-2.166 0.000 8.572
Ba Al Br Cl
2 2 2 8
direct
0.198 0.198 0.122
0.802 0.802 0.878
0.359 0.359 0.736
0.641 0.641 0.264
0.032 0.032 0.794
0.968 0.968 0.206
0.161 0.502 0.879
0.242 0.242 0.514
0.471 0.471 0.285
0.498 0.839 0.121
0.502 0.161 0.879
0.529 0.529 0.715
0.758 0.758 0.486
0.839 0.498 0.121
```

Top 10 peaks for 10° ≤ 2θ ≤ 80°, low angle first:
| 2θ/deg | I/Imax |
| --- | --- |
| 10.3 | 66 |
| 17.8 | 100 |
| 28.1 | 25 |
| 28.4 | 31 |
| 29.2 | 49 |
| 31.3 | 26 |
| 33.8 | 28 |
| 35.1 | 28 |
| 35.2 | 24 |
| 36.1 | 38 |